# 1
V5W3O20: calculated PXRD pattern (Cu Kα), based on a cell relaxed with GGA+U.
Neutral-atom scattering factors, no anomalous dispersion.

Cell and atoms:
```
data_V5W3O20
_space_group_name_H-M_alt 'P 1'
_space_group_IT_number 1
_space_group_name_Hall 'P 1'
_cell_length_a 4.1179
_cell_length_b 7.5652
_cell_length_c 12.8189
_cell_angle_alpha 72.91
_cell_angle_beta 89.28
_cell_angle_gamma 89.94
loop_
_atom_site_label
_atom_site_fract_x
_atom_site_fract_y
_atom_site_fract_z
V1 0.0000 0.0000 0.0000
V2 0.0019 0.0066 0.4864
V3 0.0158 0.5091 0.9834
V4 0.8036 0.8550 0.2922
V5 0.8207 0.3454 0.8027
W1 0.8188 0.3569 0.2849
W2 0.8321 0.8581 0.7896
W3 0.9789 0.5039 0.4982
O1 0.3868 0.3543 0.2948
O2 0.3962 0.0110 0.9883
O3 0.3968 0.0008 0.4977
O4 0.4013 0.8504 0.7967
O5 0.4065 0.8592 0.2892
O6 0.4098 0.5046 0.4898
O7 0.4113 0.4974 0.9938
O8 0.4312 0.3573 0.7897
O9 0.8926 0.4317 0.1404
O10 0.8947 0.2762 0.4612
O11 0.8951 0.7641 0.4599
O12 0.9022 0.0946 0.3239
O13 0.9025 0.5836 0.3244
O14 0.9034 0.9266 0.6439
O15 0.9062 0.2673 0.9533
O16 0.9103 0.0973 0.8131
O17 0.9152 0.9330 0.1369
O18 0.9158 0.5885 0.8203
O19 0.9158 0.7809 0.9555
O20 0.9195 0.4309 0.6465
```

Main lines, by angle (5 to 70 degrees two-theta):
- 2θ = 12.25°, I = 26
- 2θ = 14.46°, I = 36
- 2θ = 15.96°, I = 44
- 2θ = 21.59°, I = 100
- 2θ = 24.63°, I = 70
- 2θ = 26.23°, I = 27
- 2θ = 29.15°, I = 36
- 2θ = 32.26°, I = 46
- 2θ = 32.91°, I = 43
- 2θ = 48.12°, I = 22

=====

# 2
Ca3Si4Mo2O14: calculated PXRD pattern (Cu Kα), based on a cell relaxed with GGA+U.
Neutral-atom scattering factors, no anomalous dispersion.

Cell and atoms:
```
data_Ca3Si4Mo2O14
_space_group_name_H-M_alt 'C 1 2/c 1'
_space_group_IT_number 15
_space_group_name_Hall '-C 2yc'
_cell_length_a 17.5502
_cell_length_b 7.8237
_cell_length_c 10.2926
_cell_angle_alpha 90.00
_cell_angle_beta 123.73
_cell_angle_gamma 90.00
loop_
_atom_site_label
_atom_site_fract_x
_atom_site_fract_y
_atom_site_fract_z
Ca1 0.0000 0.1661 0.2500
Ca2 0.2017 0.4598 0.4642
Si1 0.1292 0.1507 0.6497
Si2 0.1791 0.2091 0.1556
Mo1 0.0000 0.2948 0.7500
Mo2 0.0000 0.5000 0.0000
O1 0.0580 0.0825 0.6907
O2 0.0752 0.4943 0.7383
O3 0.0890 0.2899 0.5068
O4 0.1017 0.3250 0.0079
O5 0.1697 0.0079 0.0928
O6 0.1864 0.2107 0.3184
O7 0.2227 0.2213 0.8182
```

Main lines, by angle (5 to 70 degrees two-theta):
- 2θ = 12.13°, I = 70
- 2θ = 12.84°, I = 82
- 2θ = 21.51°, I = 34
- 2θ = 27.25°, I = 72
- 2θ = 28.11°, I = 77
- 2θ = 30.78°, I = 32
- 2θ = 30.97°, I = 65
- 2θ = 31.48°, I = 100
- 2θ = 34.91°, I = 35
- 2θ = 38.43°, I = 71

=====

# 3
Li3Fe8B8O24: calculated PXRD pattern (Cu Kα), based on a cell relaxed with GGA+U.
Neutral-atom scattering factors, no anomalous dispersion.

Cell and atoms:
```
data_Li3Fe8B8O24
_space_group_name_H-M_alt 'P 1'
_space_group_IT_number 1
_space_group_name_Hall 'P 1'
_cell_length_a 5.2277
_cell_length_b 5.2485
_cell_length_c 20.2301
_cell_angle_alpha 89.32
_cell_angle_beta 89.75
_cell_angle_gamma 60.77
loop_
_atom_site_label
_atom_site_fract_x
_atom_site_fract_y
_atom_site_fract_z
Li1 0.0000 0.0000 0.0000
Li2 0.0265 0.0227 0.7428
Li3 0.3418 0.6920 0.8751
Fe1 0.0003 0.3521 0.3872
Fe2 0.3473 0.3491 0.2624
Fe3 0.3584 0.3530 0.7603
Fe4 0.6620 0.0224 0.6347
Fe5 0.6653 0.6682 0.0170
Fe6 0.6740 0.0223 0.1383
Fe7 0.6751 0.6769 0.5103
Fe8 0.9965 0.3559 0.8873
B1 0.0085 0.3552 0.6364
B2 0.0114 0.3517 0.1402
B3 0.3296 0.3468 0.0138
B4 0.3350 0.3491 0.5116
B5 0.6700 0.0177 0.8876
B6 0.6725 0.0116 0.3877
B7 0.6735 0.6922 0.2635
B8 0.6790 0.6829 0.7609
O1 0.0779 0.3584 0.4889
O2 0.0853 0.3240 0.9956
O3 0.2726 0.3342 0.6555
O4 0.2737 0.3359 0.1625
O5 0.3229 0.6102 0.0093
O6 0.3728 0.5849 0.5106
O7 0.4047 0.2254 0.3616
O8 0.4048 0.7090 0.7687
O9 0.4224 0.2725 0.8658
O10 0.4407 0.6490 0.2613
O11 0.5570 0.0794 0.5363
O12 0.5873 0.0953 0.0363
O13 0.6512 0.7692 0.9039
O14 0.6638 0.9505 0.2412
O15 0.6852 0.7524 0.4114
O16 0.7017 0.9248 0.7366
O17 0.7868 0.6220 0.1196
O18 0.7907 0.6179 0.6093
O19 0.9051 0.0540 0.3909
O20 0.9313 0.4245 0.7766
O21 0.9386 0.0078 0.8936
O22 0.9419 0.4752 0.2900
O23 0.9612 0.1234 0.6457
O24 0.9818 0.1092 0.1383
```

Main lines, by angle (5 to 70 degrees two-theta):
- 2θ = 19.42°, I = 47
- 2θ = 19.65°, I = 80
- 2θ = 21.38°, I = 99
- 2θ = 21.62°, I = 33
- 2θ = 26.10°, I = 38
- 2θ = 26.30°, I = 67
- 2θ = 33.83°, I = 31
- 2θ = 34.17°, I = 34
- 2θ = 34.31°, I = 35
- 2θ = 35.50°, I = 100